Starting from a cell relaxed with PBE, the powder diffractogram of Dy2Y4TmNi2Te2 was computed for Cu Kα, 1.54184 Å.
Neutral-atom scattering factors, no anomalous dispersion.

Cell and atoms:
a b c (Å): 9.369 9.369 9.369
angles (deg): 156.33 67.10 118.25
Sites, in units of the cell vectors:
Dy (0.146, 0.000, 0.146)
Dy (0.854, 0.000, 0.854)
Y (0.163, 0.347, 0.816)
Y (0.514, 0.146, 0.369)
Y (0.531, 0.347, 0.184)
Y (0.777, 0.146, 0.631)
Tm (0.227, 0.727, 0.500)
Ni (0.390, 0.653, 0.737)
Ni (0.916, 0.653, 0.263)
Te (0.489, 0.489, 0.000)
Te (0.893, 0.393, 0.500)

The 8 most intense peaks (2θ = 15–90°), in order of rising 2θ:
- 28.88°, rel. 27.7
- 30.32°, rel. 53.2
- 32.81°, rel. 66.3
- 34.04°, rel. 100.0
- 34.47°, rel. 45.0
- 47.31°, rel. 25.0
- 51.03°, rel. 29.7
- 58.77°, rel. 27.8

Starting from a cell relaxed with PBE, the powder diffractogram of Dy2Y3Tm2Ni2Te2 was computed for Cu Kα, 1.54184 Å.
Neutral-atom scattering factors, no anomalous dispersion.

Cell and atoms:
a b c (Å): 9.341 9.341 9.341
angles (deg): 156.22 66.86 118.54
Sites, in units of the cell vectors:
Dy (0.132, 0.000, 0.132)
Dy (0.868, 0.000, 0.868)
Y (0.204, 0.850, 0.353)
Y (0.497, 0.850, 0.647)
Y (0.583, 0.583, 0.000)
Tm (0.517, 0.202, 0.315)
Tm (0.886, 0.202, 0.685)
Ni (0.273, 0.511, 0.762)
Ni (0.750, 0.511, 0.238)
Te (0.246, 0.246, 0.000)
Te (0.846, 0.346, 0.500)

The 8 most intense peaks (2θ = 15–90°), in order of rising 2θ:
- 24.94°, rel. 36.7
- 30.38°, rel. 41.0
- 33.01°, rel. 82.0
- 34.06°, rel. 100.0
- 34.55°, rel. 98.9
- 38.48°, rel. 24.9
- 47.22°, rel. 32.9
- 58.82°, rel. 31.1

Starting from a cell relaxed with PBE, the powder diffractogram of Dy2Y3Tm2Ni2Te2 was computed for Cu Kα, 1.54184 Å.
Neutral-atom scattering factors, no anomalous dispersion.

Cell and atoms:
a b c (Å): 9.352 9.352 9.352
angles (deg): 156.26 66.79 118.60
Sites, in units of the cell vectors:
Dy (0.186, 0.000, 0.186)
Dy (0.814, 0.000, 0.814)
Y (0.168, 0.799, 0.369)
Y (0.430, 0.799, 0.631)
Y (0.881, 0.381, 0.500)
Tm (0.504, 0.652, 0.853)
Tm (0.799, 0.652, 0.147)
Ni (0.044, 0.308, 0.736)
Ni (0.572, 0.308, 0.264)
Te (0.145, 0.145, 0.000)
Te (0.546, 0.046, 0.500)

The 8 most intense peaks (2θ = 15–90°), in order of rising 2θ:
- 28.86°, rel. 39.4
- 30.38°, rel. 42.7
- 32.98°, rel. 87.8
- 34.04°, rel. 100.0
- 34.52°, rel. 77.7
- 36.64°, rel. 32.7
- 38.48°, rel. 31.3
- 58.83°, rel. 33.4

Starting from a cell relaxed with PBE, the powder diffractogram of Dy3Y2Tm2Ni2Te2 was computed for Cu Kα, 1.54184 Å.
Neutral-atom scattering factors, no anomalous dispersion.

Cell and atoms:
a b c (Å): 9.331 9.331 9.331
angles (deg): 156.21 66.91 118.50
Sites, in units of the cell vectors:
Dy (0.000, 0.000, 0.000)
Dy (0.622, 0.270, 0.352)
Dy (0.917, 0.270, 0.648)
Y (0.286, 0.417, 0.868)
Y (0.549, 0.417, 0.132)
Tm (0.304, 0.619, 0.685)
Tm (0.934, 0.619, 0.315)
Ni (0.166, 0.929, 0.237)
Ni (0.692, 0.929, 0.763)
Te (0.263, 0.763, 0.500)
Te (0.665, 0.665, 0.000)

The 8 most intense peaks (2θ = 15–90°), in order of rising 2θ:
- 28.89°, rel. 48.4
- 30.39°, rel. 53.4
- 33.03°, rel. 91.5
- 34.09°, rel. 100.0
- 34.57°, rel. 78.1
- 36.66°, rel. 37.7
- 47.26°, rel. 33.1
- 58.86°, rel. 35.0

Starting from a cell relaxed with PBE, the powder diffractogram of Dy2Y2Tm3Ni2Te2 was computed for Cu Kα, 1.54184 Å.
Neutral-atom scattering factors, no anomalous dispersion.

Cell and atoms:
a b c (Å): 9.303 9.303 9.303
angles (deg): 156.31 67.06 118.30
Sites, in units of the cell vectors:
Dy (0.185, 0.000, 0.185)
Dy (0.815, 0.000, 0.815)
Y (0.168, 0.799, 0.369)
Y (0.430, 0.799, 0.631)
Tm (0.506, 0.653, 0.854)
Tm (0.799, 0.653, 0.146)
Tm (0.880, 0.380, 0.500)
Ni (0.043, 0.308, 0.736)
Ni (0.572, 0.308, 0.264)
Te (0.144, 0.144, 0.000)
Te (0.547, 0.047, 0.500)

The 8 most intense peaks (2θ = 15–90°), in order of rising 2θ:
- 29.07°, rel. 45.8
- 30.53°, rel. 53.6
- 33.07°, rel. 87.3
- 34.27°, rel. 100.0
- 34.72°, rel. 68.5
- 36.77°, rel. 36.0
- 51.41°, rel. 34.9
- 59.18°, rel. 39.6

Starting from a cell relaxed with PBE, the powder diffractogram of Dy2Y3Tm2Ni2Te2 was computed for Cu Kα, 1.54184 Å.
Neutral-atom scattering factors, no anomalous dispersion.

Cell and atoms:
a b c (Å): 9.346 9.346 9.346
angles (deg): 156.27 66.99 118.39
Sites, in units of the cell vectors:
Dy (0.133, 0.000, 0.133)
Dy (0.867, 0.000, 0.867)
Y (0.517, 0.202, 0.315)
Y (0.580, 0.580, 0.000)
Y (0.887, 0.202, 0.685)
Tm (0.205, 0.852, 0.353)
Tm (0.500, 0.852, 0.647)
Ni (0.269, 0.506, 0.763)
Ni (0.744, 0.506, 0.237)
Te (0.247, 0.247, 0.000)
Te (0.845, 0.345, 0.500)

The 8 most intense peaks (2θ = 15–90°), in order of rising 2θ:
- 30.37°, rel. 40.8
- 32.94°, rel. 61.7
- 34.08°, rel. 100.0
- 34.54°, rel. 55.5
- 45.00°, rel. 18.9
- 47.30°, rel. 23.1
- 51.12°, rel. 20.2
- 58.85°, rel. 30.5